Record 1
The following is a calculated PXRD pattern of Tb2Pm12Sc. It was derived from a cell relaxed with GGA-PBE, using λ = 1.5418 Å (Cu Kα).
Peak positions follow from Bragg's law for the DFT cell and can differ from measured ones.

Principal peaks in the range 5° ≤ 2θ ≤ 70°, in order of rising 2θ:
28.21 deg, I 100
28.83 deg, I 41
30.85 deg, I 45
31.41 deg, I 80
31.64 deg, I 60
32.20 deg, I 39
33.83 deg, I 48
35.55 deg, I 30
38.95 deg, I 44
55.37 deg, I 50

Crystal structure
Cell lengths 6.5398, 6.5398, 25.0220 Å; angles 90.00, 90.00, 90.00 degrees
Atoms (fractional coordinates):
Tb 0.2500 0.7500 0.2325
Tb 0.2500 0.7500 0.7675
Tb 0.7500 0.2500 0.2325
Tb 0.7500 0.2500 0.7675
Pm 0.0643 0.5643 0.3916
Pm 0.0643 0.9357 0.6084
Pm 0.0824 0.5824 0.9368
Pm 0.0824 0.9176 0.0632
Pm 0.2500 0.2500 0.1651
Pm 0.2500 0.2500 0.2893
Pm 0.2500 0.2500 0.7107
Pm 0.2500 0.2500 0.8349
Pm 0.4176 0.5824 0.0632
Pm 0.4176 0.9176 0.9368
Pm 0.4357 0.5643 0.6084
Pm 0.4357 0.9357 0.3916
Pm 0.5643 0.0643 0.6084
Pm 0.5643 0.4357 0.3916
Pm 0.5824 0.0824 0.0632
Pm 0.5824 0.4176 0.9368
Pm 0.7500 0.7500 0.1651
Pm 0.7500 0.7500 0.2893
Pm 0.7500 0.7500 0.7107
Pm 0.7500 0.7500 0.8349
Pm 0.9176 0.0824 0.9368
Pm 0.9176 0.4176 0.0632
Pm 0.9357 0.0643 0.3916
Pm 0.9357 0.4357 0.6084
Sc 0.2500 0.7500 0.5000
Sc 0.7500 0.2500 0.5000


Record 2
The following is a calculated PXRD pattern of TbPm15Sc4. It was derived from a cell relaxed with GGA-PBE, using λ = 1.5418 Å (Cu Kα).
Peak positions follow from Bragg's law for the DFT cell and can differ from measured ones.

Principal peaks in the range 5° ≤ 2θ ≤ 70°, in order of rising 2θ:
17.59 deg, I 7
24.98 deg, I 6
30.72 deg, I 100
35.58 deg, I 34
35.70 deg, I 17
44.00 deg, I 3
51.26 deg, I 35
60.90 deg, I 28
61.06 deg, I 14
63.97 deg, I 12

Crystal structure
Cell lengths 5.0469, 5.0469, 25.1505 Å; angles 90.00, 90.00, 90.00 degrees
Atoms (fractional coordinates):
Tb 0.0000 0.0000 0.0000
Pm 0.0000 0.5000 0.1032
Pm 0.0000 0.5000 0.3014
Pm 0.0000 0.5000 0.5000
Pm 0.0000 0.5000 0.6986
Pm 0.0000 0.5000 0.8968
Pm 0.5000 0.0000 0.1032
Pm 0.5000 0.0000 0.3014
Pm 0.5000 0.0000 0.5000
Pm 0.5000 0.0000 0.6986
Pm 0.5000 0.0000 0.8968
Pm 0.5000 0.5000 0.0000
Pm 0.5000 0.5000 0.2025
Pm 0.5000 0.5000 0.4007
Pm 0.5000 0.5000 0.5993
Pm 0.5000 0.5000 0.7975
Sc 0.0000 0.0000 0.2023
Sc 0.0000 0.0000 0.4007
Sc 0.0000 0.0000 0.5993
Sc 0.0000 0.0000 0.7977